No. 1
Theoretical powder diffraction line list of Ba2C2ClO6 for Cu Kα X-rays, from a PBE-relaxed structure.

The 12 most intense peaks (5 to 70 degrees two-theta), by intensity:
hkl  two_theta  d/Å  intensity
1 1 -1  28.03  3.183  100.0
0 1 1  20.06  4.426  71.5
1 -1 1  28.17  3.167  67.2
1 2 2  38.57  2.334  51.0
1 0 0  19.81  4.481  50.2
1 1 1  22.77  3.905  47.8
1 0 2  30.21  2.959  37.4
0 1 -1  19.71  4.505  37.1
1 2 0  30.38  2.943  36.6
0 2 0  28.44  3.138  31.9
2 1 1  38.15  2.359  30.1
0 3 -1  45.37  1.999  27.7

Atomic structure:
a = 4.783 Å, b = 6.493 Å, c = 6.563 Å
α = 87.28°, β = 75.50°, γ = 75.19°
Space group P-1 (No. 2)
Symmetry-distinct sites (fractional):
Ba 0.006 0.250 0.247
C 0.390 0.178 0.677
Cl 0.500 0.500 0.000
O 0.241 0.336 0.589
O 0.254 0.083 0.835
O 0.326 0.888 0.394

=====

No. 2
Theoretical powder diffraction line list of Ba3CCl4O3 for Cu Kα X-rays, from a PBE-relaxed structure.

The 12 most intense peaks (5 to 70 degrees two-theta), by intensity:
hkl  two_theta  d/Å  intensity
2 2 2  31.37  2.852  100.0
1 0 3  23.37  3.806  66.3
1 2 1  22.33  3.982  62.8
1 0 4  29.91  2.987  60.3
0 2 2  23.13  3.845  52.5
2 0 0  20.89  4.252  43.2
2 4 0  43.16  2.096  32.8
1 2 5  41.41  2.181  32.2
0 4 0  37.34  2.408  32.1
1 4 3  44.52  2.035  29.7
0 2 4  33.69  2.660  28.7
3 0 3  38.15  2.359  22.9

Atomic structure:
a = 8.504 Å, b = 9.633 Å, c = 12.768 Å
α = 90.00°, β = 90.00°, γ = 90.00°
Space group Pnma (No. 62)
Symmetry-distinct sites (fractional):
Ba 0.039 0.009 0.183
Ba 0.043 0.750 0.464
C 0.231 0.250 0.708
Cl 0.049 0.250 0.988
Cl 0.167 0.750 0.700
Cl 0.188 0.041 0.414
O 0.133 0.750 0.254
O 0.167 0.132 0.682